# 1
The following is a computed XRD peak list of CsLi3F4. It was derived from the PBE geometry in the Materials Project, using Cu Kα X-rays.

Largest 10 diffraction maxima, in order of rising 2θ, 2θ = 10–80°:
2theta, d [Å], Rel. int.
18.21, 4.871, 53
19.83, 4.477, 100
23.68, 3.757, 91
24.03, 3.703, 84
32.13, 2.785, 60
33.39, 2.683, 59
34.08, 2.630, 66
34.72, 2.584, 57
36.59, 2.456, 93
40.14, 2.247, 67

Cell and atoms:
Cell: 5.8964 5.8964 7.9823 Å, 109.10 109.10 57.28°
Positions (direct):
Cs  0.1675  0.1675  0.2676
Cs  0.8325  0.8325  0.7324
Li  0.1081  0.1081  0.6717
Li  0.2947  0.2947  0.9633
Li  0.4993  0.4993  0.6902
Li  0.5007  0.5007  0.3098
Li  0.7053  0.7053  0.0367
Li  0.8919  0.8919  0.3283
F  0.1293  0.6298  0.1351
F  0.2496  0.7504  0.5000
F  0.3109  0.3109  0.7223
F  0.3702  0.8707  0.8649
F  0.6298  0.1293  0.1351
F  0.6891  0.6891  0.2777
F  0.7504  0.2496  0.5000
F  0.8707  0.3702  0.8649


# 2
The following is a computed XRD peak list of Pt3Cl3F. It was derived from the PBE geometry in the Materials Project, using Cu Kα X-rays.

Largest 10 diffraction maxima, in order of rising 2θ, 2θ = 10–80°:
2theta, d [Å], Rel. int.
17.66, 5.023, 35
25.07, 3.551, 44
30.84, 2.900, 79
35.75, 2.511, 100
40.15, 2.246, 18
44.17, 2.050, 19
51.46, 1.776, 70
61.20, 1.514, 38
64.24, 1.450, 24
75.75, 1.256, 11

Cell and atoms:
Cell: 5.0226 5.0226 5.0226 Å, 90.00 90.00 90.00°
Positions (direct):
Pt  0.0000  0.0000  0.5000
Pt  0.0000  0.5000  0.0000
Pt  0.5000  0.0000  0.0000
Cl  0.0000  0.5000  0.5000
Cl  0.5000  0.0000  0.5000
Cl  0.5000  0.5000  0.0000
F  0.0000  0.0000  0.0000


# 3
The following is a computed XRD peak list of Ho2S3O12. It was derived from the PBE geometry in the Materials Project, using Cu Kα X-rays.

Largest 10 diffraction maxima, in order of rising 2θ, 2θ = 10–80°:
2theta, d [Å], Rel. int.
13.36, 6.630, 40
18.63, 4.762, 100
19.22, 4.617, 81
22.30, 3.987, 39
26.90, 3.315, 60
29.76, 3.002, 59
33.27, 2.693, 41
33.62, 2.666, 35
48.82, 1.866, 27
52.43, 1.745, 25

Cell and atoms:
Cell: 9.5338 9.5338 9.5338 Å, 57.93 57.93 57.93°
Positions (direct):
Ho  0.1439  0.1439  0.1439
Ho  0.3561  0.3561  0.3561
Ho  0.6439  0.6439  0.6439
Ho  0.8561  0.8561  0.8561
S  0.0374  0.7500  0.4626
S  0.2500  0.5374  0.9626
S  0.4626  0.0374  0.7500
S  0.5374  0.9626  0.2500
S  0.7500  0.4626  0.0374
S  0.9626  0.2500  0.5374
O  0.0087  0.7745  0.6182
O  0.0643  0.9070  0.3034
O  0.0930  0.6966  0.9357
O  0.1182  0.2745  0.5087
O  0.1966  0.5930  0.4357
O  0.2255  0.3818  0.9913
O  0.2745  0.5087  0.1182
O  0.3034  0.0643  0.9070
O  0.3818  0.9913  0.2255
O  0.4070  0.5643  0.8034
O  0.4357  0.1966  0.5930
O  0.4913  0.8818  0.7255
O  0.5087  0.1182  0.2745
O  0.5643  0.8034  0.4070
O  0.5930  0.4357  0.1966
O  0.6182  0.0087  0.7745
O  0.6966  0.9357  0.0930
O  0.7255  0.4913  0.8818
O  0.7745  0.6182  0.0087
O  0.8034  0.4070  0.5643
O  0.8818  0.7255  0.4913
O  0.9070  0.3034  0.0643
O  0.9357  0.0930  0.6966
O  0.9913  0.2255  0.3818